(1)
For MoW2Se2S4, a crystal structure in Alexandria, relaxed with PBE gives the computed powder XRD pattern in this record (Cu Kα X-rays).
No peak broadening, texture or thermal motion is included.

Crystal structure
a b c (Å): 3.2327 3.2327 21.8431
angles (deg): 90.00 90.00 120.00
Space group P3m1 (No. 156)
Inequivalent atoms, fractional coordinates:
Mo (0.0000, 0.0000, 0.0000) [1 per cell]
W (0.0000, 0.0000, 0.6627) [1 per cell]
W (0.3333, 0.6667, 0.3354) [1 per cell]
Se (0.0000, 0.0000, 0.2568) [1 per cell]
Se (0.0000, 0.0000, 0.4140) [1 per cell]
S (0.3333, 0.6667, 0.0710) [1 per cell]
S (0.3333, 0.6667, 0.5914) [1 per cell]
S (0.3333, 0.6667, 0.7341) [1 per cell]
S (0.3333, 0.6667, 0.9290) [1 per cell]

Peak list (6 most intense, 2θ from 5° to 70°, by angle)
12.16°, d = 7.281 Å, I 100, (0 0 3)
31.97°, d = 2.800 Å, I 18, (1 0 0)
36.05°, d = 2.491 Å, I 20, (1 0 4)
38.18°, d = 2.357 Å, I 29, (0 1 5)
43.43°, d = 2.084 Å, I 19, (1 0 7)
46.46°, d = 1.955 Å, I 18, (0 1 8)

(2)
For Ac2PaMoN6, a crystal structure in Alexandria, relaxed with PBE gives the computed powder XRD pattern in this record (Cu Kα X-rays).
No peak broadening, texture or thermal motion is included.

Crystal structure
a b c (Å): 4.2078 4.2078 8.6140
angles (deg): 90.00 90.00 90.00
Space group P4/mmm (No. 123)
Inequivalent atoms, fractional coordinates:
Ac (0.0000, 0.0000, 0.2243) [2 per cell]
Pa (0.5000, 0.5000, 0.5000) [1 per cell]
Mo (0.5000, 0.5000, 0.0000) [1 per cell]
N (0.0000, 0.5000, 0.0000) [2 per cell]
N (0.0000, 0.5000, 0.5000) [2 per cell]
N (0.5000, 0.5000, 0.2308) [2 per cell]

Peak list (6 most intense, 2θ from 5° to 70°, by angle)
29.68°, d = 3.010 Å, I 100, (1 0 2)
30.03°, d = 2.975 Å, I 52, (1 1 0)
42.99°, d = 2.104 Å, I 26, (2 0 0)
52.45°, d = 1.744 Å, I 17, (1 1 4)
53.11°, d = 1.724 Å, I 42, (2 1 2)
61.63°, d = 1.505 Å, I 14, (2 0 4)